[1]
PmSm7Ho3: calculated XRD peak list (Cu Kα (weighted mean of Kα1 and Kα2)), based on the PBE geometry in Alexandria.

Crystal structure
Unit cell a=6.548 b=6.735 c=8.714 alpha=99.71 beta=98.90 gamma=95.78
Space group P-1 (No. 2)
Symmetry-distinct sites (fractional):
1 Pm 0.000 0.000 0.000 x1
2 Sm 0.000 0.500 0.000 x1
3 Sm 0.055 0.211 0.641 x2
4 Sm 0.220 0.723 0.710 x2
5 Sm 0.485 0.238 0.915 x2
6 Ho 0.311 0.434 0.337 x2
7 Ho 0.500 0.000 0.500 x1

Peak list (6 most intense, 2θ = 10–90°, in order of rising 2θ)
| two_theta | I (rel.) |
| --- | --- |
| 31.15 | 25.3 |
| 31.38 | 59.6 |
| 31.69 | 100.0 |
| 31.93 | 75.6 |
| 32.07 | 80.1 |
| 33.02 | 41.4 |


[2]
Ta2VFe5Co2: calculated XRD peak list (Cu Kα (weighted mean of Kα1 and Kα2)), based on the PBE geometry in Alexandria.

Crystal structure
Unit cell a=8.328 b=8.328 c=3.671 alpha=90.00 beta=90.00 gamma=90.00
Space group P4/mbm (No. 127)
Symmetry-distinct sites (fractional):
1 Ta 0.167 0.333 0.000 x4
2 V 0.000 0.000 0.000 x2
3 Fe 0.000 0.500 0.500 x2
4 Fe 0.066 0.798 0.500 x8
5 Co 0.130 0.630 0.000 x4

Peak list (6 most intense, 2θ = 10–90°, in order of rising 2θ)
| two_theta | I (rel.) |
| --- | --- |
| 34.30 | 53.4 |
| 42.23 | 100.0 |
| 44.88 | 39.6 |
| 46.25 | 26.7 |
| 49.67 | 28.8 |
| 69.16 | 21.1 |


[3]
SmErMn17: calculated XRD peak list (Cu Kα (weighted mean of Kα1 and Kα2)), based on the PBE geometry in Alexandria.

Crystal structure
Unit cell a=8.6615 b=8.6615 c=11.6538 alpha=90.00 beta=90.00 gamma=120.00
Space group R3m (No. 160, hexagonal axes)
Symmetry-distinct sites (fractional):
1 Sm 0.0000 0.0000 0.0000 x3
2 Er 0.0000 0.0000 0.7100 x3
3 Mn 0.0000 0.0000 0.2572 x3
4 Mn 0.0000 0.0000 0.4563 x3
5 Mn 0.0005 0.2749 0.3568 x18
6 Mn 0.0154 0.5077 0.2184 x9
7 Mn 0.1671 0.3342 0.1904 x9
8 Mn 0.1735 0.3471 0.8269 x9

Peak list (6 most intense, 2θ = 10–90°, in order of rising 2θ)
| two_theta | I (rel.) |
| --- | --- |
| 30.92 | 44.9 |
| 35.92 | 47.9 |
| 39.15 | 64.6 |
| 41.71 | 90.6 |
| 43.02 | 100.0 |
| 44.59 | 33.5 |


[4]
Sm3BeP2Pt9: calculated XRD peak list (Cu Kα (weighted mean of Kα1 and Kα2)), based on the PBE geometry in Alexandria.

Crystal structure
Unit cell a=6.3147 b=6.3147 c=8.3088 alpha=90.00 beta=90.00 gamma=120.00
Space group P-3m1 (No. 164)
Symmetry-distinct sites (fractional):
1 Sm 0.0000 0.0000 0.0000 x1
2 Sm 0.3333 0.6667 0.6454 x2
3 Be 0.0000 0.0000 0.5000 x1
4 P 0.3333 0.6667 0.1914 x2
5 Pt 0.0000 0.5000 0.0000 x3
6 Pt 0.1451 0.2901 0.3021 x6

Peak list (6 most intense, 2θ = 10–90°, in order of rising 2θ)
| two_theta | I (rel.) |
| --- | --- |
| 32.32 | 35.5 |
| 34.53 | 100.0 |
| 39.45 | 75.9 |
| 55.54 | 28.1 |
| 58.46 | 22.2 |
| 68.41 | 23.6 |


[5]
Pu4Se3S: calculated XRD peak list (Cu Kα (weighted mean of Kα1 and Kα2)), based on the PBE geometry in Alexandria.

Crystal structure
Unit cell a=5.819 b=5.819 c=5.819 alpha=90.00 beta=90.00 gamma=90.00
Space group Pm-3m (No. 221)
Symmetry-distinct sites (fractional):
1 Pu 0.000 0.000 0.000 x1
2 Pu 0.000 0.500 0.500 x3
3 Se 0.000 0.000 0.500 x3
4 S 0.500 0.500 0.500 x1

Peak list (6 most intense, 2θ = 10–90°, in order of rising 2θ)
| two_theta | I (rel.) |
| --- | --- |
| 26.53 | 56.6 |
| 30.73 | 100.0 |
| 44.01 | 75.7 |
| 52.13 | 29.3 |
| 54.63 | 27.0 |
| 72.66 | 35.1 |


[6]
LaTb7Er5: calculated XRD peak list (Cu Kα (weighted mean of Kα1 and Kα2)), based on the PBE geometry in Alexandria.

Crystal structure
Unit cell a=12.927 b=11.672 c=6.431 alpha=90.00 beta=119.27 gamma=90.00
Space group Cm (No. 8)
Symmetry-distinct sites (fractional):
1 La 0.000 0.000 0.000 x2
2 Tb 0.009 0.336 0.032 x4
3 Tb 0.241 0.500 0.991 x2
4 Tb 0.243 0.500 0.446 x2
5 Tb 0.476 0.332 0.500 x4
6 Tb 0.487 0.000 0.495 x2
7 Er 0.242 0.272 0.642 x4
8 Er 0.245 0.000 0.626 x2
9 Er 0.246 0.159 0.115 x4

Peak list (6 most intense, 2θ = 10–90°, in order of rising 2θ)
| two_theta | I (rel.) |
| --- | --- |
| 31.13 | 100.0 |
| 31.27 | 97.0 |
| 31.74 | 92.8 |
| 31.91 | 44.3 |
| 32.18 | 44.3 |
| 48.49 | 34.2 |